Structure and computed powder diffractogram of AcMg2In6 (a DFT-relaxed cell (GGA-PBE, Alexandria); Cu Kα (λ = 1.5418 Å)).

Principal peaks in the range 2θ = 10–90°, low angle first:
| d [Å] | two_theta | Rel. int. |
| --- | --- | --- |
| 7.784 | 11.37 | 20 |
| 4.065 | 21.87 | 27 |
| 3.370 | 26.44 | 100 |
| 2.595 | 34.57 | 12 |
| 2.383 | 37.75 | 98 |
| 1.946 | 46.68 | 28 |
| 1.685 | 54.45 | 17 |
| 1.507 | 61.52 | 37 |
| 1.376 | 68.15 | 33 |
| 1.123 | 86.66 | 18 |

Structure:
Cell lengths 9.5330, 9.5330, 9.5330 Å; angles 60.00, 60.00, 60.00 degrees
Sites, in units of the cell vectors:
1 Ac 0.1250 0.1250 0.1250
2 Ac 0.8750 0.8750 0.8750
3 Mg 0.0000 0.5000 0.5000
4 Mg 0.5000 0.0000 0.5000
5 Mg 0.5000 0.5000 0.0000
6 Mg 0.5000 0.5000 0.5000
7 In 0.1240 0.1240 0.6260
8 In 0.1240 0.6260 0.1240
9 In 0.1240 0.6260 0.6260
10 In 0.3740 0.3740 0.8760
11 In 0.3740 0.8760 0.3740
12 In 0.3740 0.8760 0.8760
13 In 0.6260 0.1240 0.1240
14 In 0.6260 0.1240 0.6260
15 In 0.6260 0.6260 0.1240
16 In 0.8760 0.3740 0.3740
17 In 0.8760 0.3740 0.8760
18 In 0.8760 0.8760 0.3740



Structure and computed powder diffractogram of Ac12MgIn6 (a DFT-relaxed cell (GGA-PBE, Alexandria); Cu Kα (λ = 1.5418 Å)).

Principal peaks in the range 2θ = 10–90°, low angle first:
| d [Å] | two_theta | Rel. int. |
| --- | --- | --- |
| 4.582 | 19.37 | 21 |
| 3.708 | 24.00 | 20 |
| 3.225 | 27.66 | 35 |
| 3.094 | 28.86 | 19 |
| 3.022 | 29.55 | 20 |
| 3.000 | 29.78 | 100 |
| 2.796 | 32.01 | 44 |
| 2.637 | 33.99 | 29 |
| 2.286 | 39.42 | 23 |
| 1.868 | 48.76 | 22 |

Structure:
Cell lengths 9.8205, 9.8205, 9.8205 Å; angles 107.83, 107.83, 107.83 degrees
Sites, in units of the cell vectors:
1 Ac 0.0186 0.8798 0.3202
2 Ac 0.0999 0.3449 0.4404
3 Ac 0.1202 0.6798 0.9814
4 Ac 0.3202 0.0186 0.8798
5 Ac 0.3449 0.4404 0.0999
6 Ac 0.4404 0.0999 0.3449
7 Ac 0.5596 0.9001 0.6551
8 Ac 0.6551 0.5596 0.9001
9 Ac 0.6798 0.9814 0.1202
10 Ac 0.8798 0.3202 0.0186
11 Ac 0.9001 0.6551 0.5596
12 Ac 0.9814 0.1202 0.6798
13 Mg 0.0000 0.0000 0.0000
14 In 0.2078 0.6509 0.3417
15 In 0.3417 0.2078 0.6509
16 In 0.3491 0.6583 0.7922
17 In 0.6509 0.3417 0.2078
18 In 0.6583 0.7922 0.3491
19 In 0.7922 0.3491 0.6583



Structure and computed powder diffractogram of Ac4Mg3In (a DFT-relaxed cell (GGA-PBE, Alexandria); Cu Kα (λ = 1.5418 Å)).

Principal peaks in the range 2θ = 10–90°, low angle first:
| d [Å] | two_theta | Rel. int. |
| --- | --- | --- |
| 4.104 | 21.65 | 48 |
| 2.902 | 30.81 | 100 |
| 2.370 | 37.97 | 16 |
| 2.052 | 44.13 | 19 |
| 1.836 | 49.67 | 23 |
| 1.676 | 54.79 | 40 |
| 1.451 | 64.18 | 13 |
| 1.369 | 68.57 | 7 |
| 1.298 | 72.88 | 17 |
| 1.097 | 89.34 | 16 |

Structure:
Cell lengths 10.0641, 10.0641, 10.0641 Å; angles 33.50, 33.50, 33.50 degrees
Sites, in units of the cell vectors:
1 Ac 0.1247 0.1247 0.1247
2 Ac 0.3748 0.3748 0.3748
3 Ac 0.6252 0.6252 0.6252
4 Ac 0.8753 0.8753 0.8753
5 Mg 0.2479 0.2479 0.2479
6 Mg 0.5000 0.5000 0.5000
7 Mg 0.7521 0.7521 0.7521
8 In 0.0000 0.0000 0.0000



> Which formula does entry 1 have?

AcMg2In6



Copy entry 2 word for word.
Structure and computed powder diffractogram of Ac12MgIn6 (a DFT-relaxed cell (GGA-PBE, Alexandria); Cu Kα (λ = 1.5418 Å)).

Principal peaks in the range 2θ = 10–90°, low angle first:
| d [Å] | two_theta | Rel. int. |
| --- | --- | --- |
| 4.582 | 19.37 | 21 |
| 3.708 | 24.00 | 20 |
| 3.225 | 27.66 | 35 |
| 3.094 | 28.86 | 19 |
| 3.022 | 29.55 | 20 |
| 3.000 | 29.78 | 100 |
| 2.796 | 32.01 | 44 |
| 2.637 | 33.99 | 29 |
| 2.286 | 39.42 | 23 |
| 1.868 | 48.76 | 22 |

Structure:
Cell lengths 9.8205, 9.8205, 9.8205 Å; angles 107.83, 107.83, 107.83 degrees
Sites, in units of the cell vectors:
1 Ac 0.0186 0.8798 0.3202
2 Ac 0.0999 0.3449 0.4404
3 Ac 0.1202 0.6798 0.9814
4 Ac 0.3202 0.0186 0.8798
5 Ac 0.3449 0.4404 0.0999
6 Ac 0.4404 0.0999 0.3449
7 Ac 0.5596 0.9001 0.6551
8 Ac 0.6551 0.5596 0.9001
9 Ac 0.6798 0.9814 0.1202
10 Ac 0.8798 0.3202 0.0186
11 Ac 0.9001 0.6551 0.5596
12 Ac 0.9814 0.1202 0.6798
13 Mg 0.0000 0.0000 0.0000
14 In 0.2078 0.6509 0.3417
15 In 0.3417 0.2078 0.6509
16 In 0.3491 0.6583 0.7922
17 In 0.6509 0.3417 0.2078
18 In 0.6583 0.7922 0.3491
19 In 0.7922 0.3491 0.6583